1.
# LaNd3Bi4
Calculated powder XRD pattern, Cu Kα X-rays. Input: a GGA-PBE-relaxed structure.
Neutral-atom scattering factors, no anomalous dispersion.

Peak list (10 most intense, 10 to 80 degrees two-theta, in order of rising 2θ)
- 2θ 23.52, I = 6
- 2θ 27.23, I = 100
- 2θ 38.88, I = 79
- 2θ 45.95, I = 4
- 2θ 48.12, I = 29
- 2θ 56.16, I = 14
- 2θ 61.72, I = 2
- 2θ 63.51, I = 38
- 2θ 70.41, I = 28
- 2θ 75.40, I = 1

Cell and atoms:
```
8
Lattice="6.5508 0.0000 0.0000 0.0000 6.5508 0.0000 0.0000 0.0000 6.5508" Properties=species:S:1:pos:R:3 pbc="T T T"
La 0.0000 0.0000 0.0000
Nd 0.0000 3.2754 3.2754
Nd 3.2754 0.0000 3.2754
Nd 3.2754 3.2754 0.0000
Bi 0.0000 0.0000 3.2754
Bi 0.0000 3.2754 0.0000
Bi 3.2754 0.0000 0.0000
Bi 3.2754 3.2754 3.2754
```

2.
# Cs2Se3S2
Calculated powder XRD pattern, Cu Kα X-rays. Input: a GGA-PBE-relaxed structure.
Neutral-atom scattering factors, no anomalous dispersion.

Peak list (12 most intense, 10 to 80 degrees two-theta, in order of rising 2θ)
- 2θ 20.49, I = 33
- 2θ 23.14, I = 49
- 2θ 24.45, I = 100
- 2θ 25.99, I = 63
- 2θ 28.24, I = 21
- 2θ 30.54, I = 51
- 2θ 31.71, I = 20
- 2θ 33.99, I = 46
- 2θ 35.91, I = 27
- 2θ 40.00, I = 21
- 2θ 41.53, I = 20
- 2θ 41.68, I = 19

Cell and atoms:
```
7
Lattice="8.9741 -2.6373 0.0000 8.9741 2.6373 0.0000 -1.1279 0.0000 5.5714" Properties=species:S:1:pos:R:3 pbc="T T T"
Cs 0.0000 0.0000 0.0000
Cs 3.3672 0.0000 3.7074
Se 6.5618 0.0000 1.7187
Se 10.6912 0.0000 1.8298
Se 14.7476 0.0000 1.9852
S 8.3872 0.0000 2.9563
S 12.9303 0.0000 0.7269
```

3.
# KAlCl2O
Calculated powder XRD pattern, Cu Kα X-rays. Input: a GGA-PBE-relaxed structure.
Neutral-atom scattering factors, no anomalous dispersion.

Peak list (12 most intense, 10 to 80 degrees two-theta, in order of rising 2θ)
- 2θ 12.76, I = 85
- 2θ 19.52, I = 39
- 2θ 20.14, I = 86
- 2θ 20.28, I = 100
- 2θ 25.20, I = 59
- 2θ 26.13, I = 70
- 2θ 30.24, I = 49
- 2θ 30.74, I = 33
- 2θ 31.71, I = 49
- 2θ 34.69, I = 61
- 2θ 35.79, I = 39
- 2θ 36.46, I = 51

Cell and atoms:
```
10
Lattice="7.0589 0.0000 0.0000 0.0000 5.6438 0.0000 -1.3226 0.0000 7.0600" Properties=species:S:1:pos:R:3 pbc="T T T"
K 1.0829 0.0000 2.1783
K 4.6534 2.8219 4.8817
Al 1.9981 4.9857 6.2684
Al 3.7382 2.1638 0.7917
Cl -0.0098 4.9294 5.2847
Cl 2.3878 2.8398 2.4277
Cl 3.3486 0.0179 4.6323
Cl 5.7461 2.1075 1.7753
O 3.2139 0.5663 0.4147
O 2.5224 3.3882 6.6454
```

4.
# Cs3Bi2
Calculated powder XRD pattern, Cu Kα X-rays. Input: a GGA-PBE-relaxed structure.
Neutral-atom scattering factors, no anomalous dispersion.

Peak list (12 most intense, 10 to 80 degrees two-theta, in order of rising 2θ)
- 2θ 14.49, I = 38
- 2θ 15.04, I = 21
- 2θ 24.69, I = 100
- 2θ 24.89, I = 38
- 2θ 26.03, I = 22
- 2θ 26.31, I = 40
- 2θ 29.21, I = 25
- 2θ 30.34, I = 36
- 2θ 30.44, I = 46
- 2θ 31.94, I = 57
- 2θ 39.66, I = 33
- 2θ 53.11, I = 20

Cell and atoms:
```
10
Lattice="0.0000 11.7784 3.0450 7.1540 0.0000 3.0450 7.1540 11.7784 0.0000" Properties=species:S:1:pos:R:3 pbc="T T T"
Cs 0.0000 0.0000 0.0000
Cs 3.5770 5.8892 1.5225
Cs 6.3787 9.1965 2.9561
Cs 7.9293 14.3604 2.9561
Cs 11.5063 15.0857 4.4786
Cs 9.9557 20.2496 4.4786
Bi 7.4498 5.3378 2.5208
Bi 10.4352 11.2270 4.0433
Bi 6.8582 18.2190 2.5208
Bi 3.8728 12.3298 4.0433
```

5.
# K2IrPb2O6
Calculated powder XRD pattern, Cu Kα X-rays. Input: a GGA-PBE-relaxed structure.
Neutral-atom scattering factors, no anomalous dispersion.

Peak list (12 most intense, 10 to 80 degrees two-theta, in order of rising 2θ)
- 2θ 15.95, I = 100
- 2θ 22.63, I = 27
- 2θ 27.62, I = 32
- 2θ 30.69, I = 44
- 2θ 31.53, I = 21
- 2θ 32.32, I = 15
- 2θ 34.02, I = 51
- 2θ 36.61, I = 12
- 2θ 36.80, I = 23
- 2θ 48.45, I = 17
- 2θ 53.42, I = 14
- 2θ 55.26, I = 12

Cell and atoms:
```
11
Lattice="3.3272 -5.4450 0.0000 3.3272 5.4450 0.0000 -1.4037 0.0000 5.6758" Properties=species:S:1:pos:R:3 pbc="T T T"
K 3.3272 3.8059 0.0000
K 3.3272 -3.8059 0.0000
Ir 3.3272 0.0000 0.0000
Pb 2.6253 1.6997 2.8379
Pb 2.6253 -1.6997 2.8379
O 1.0734 1.3925 4.6026
O 1.8580 0.0000 1.4386
O 1.0734 -1.3925 4.6026
O 4.1772 1.3925 1.0732
O 3.3926 0.0000 4.2372
O 4.1772 -1.3925 1.0732
```

6.
# EuLuMg
Calculated powder XRD pattern, Cu Kα X-rays. Input: a GGA-PBE-relaxed structure.
Neutral-atom scattering factors, no anomalous dispersion.

Peak list (12 most intense, 10 to 80 degrees two-theta, in order of rising 2θ)
- 2θ 13.30, I = 13
- 2θ 24.78, I = 40
- 2θ 26.77, I = 16
- 2θ 31.32, I = 100
- 2θ 33.98, I = 43
- 2θ 40.64, I = 10
- 2θ 43.78, I = 17
- 2θ 48.82, I = 15
- 2θ 53.99, I = 18
- 2θ 54.11, I = 14
- 2θ 59.16, I = 33
- 2θ 75.84, I = 10

Cell and atoms:
```
3
Lattice="-1.8654 1.8654 6.6596 1.8654 -1.8654 6.6596 1.8654 1.8654 -6.6596" Properties=species:S:1:pos:R:3 pbc="T T T"
Eu 0.0000 0.0000 0.0000
Lu 0.0000 0.0000 4.0865
Mg 0.0000 0.0000 8.8907
```